Entry 1:
Structure and simulated PXRD pattern of Tb2Pr2Ge3 (a GGA-PBE-relaxed structure; Cu Kα, 1.54184 Å).

Structure:
abc: 7.0762 7.0762 7.7184
angles: 100.02 100.02 34.40
Atoms (fractional coordinates):
Tb  0.1322  0.1322  0.4026
Tb  0.8678  0.8678  0.5974
Pr  0.3708  0.3708  0.1388
Pr  0.6292  0.6292  0.8612
Ge  0.2648  0.2648  0.7601
Ge  0.5000  0.5000  0.5000
Ge  0.7352  0.7352  0.2399

Main lines, by intensity (2θ = 10–90°):
2theta	I/Imax
30.25	100.0
29.14	50.9
41.19	39.1
43.79	33.0
25.78	29.9
43.38	19.3
52.99	19.2
43.24	19.2

---

Entry 2:
Structure and simulated PXRD pattern of PrTc2Ge2 (a GGA-PBE-relaxed structure; Cu Kα, 1.54184 Å).

Structure:
abc: 11.3080 11.3080 11.3080
angles: 158.63 158.50 30.50
Atoms (fractional coordinates):
Pr  0.4114  0.1614  0.2500
Pr  0.5886  0.8386  0.7500
Tc  0.2157  0.9657  0.2500
Tc  0.2857  0.5357  0.7500
Tc  0.7143  0.4643  0.2500
Tc  0.7843  0.0343  0.7500
Ge  0.0300  0.2800  0.7500
Ge  0.1473  0.3973  0.7500
Ge  0.8527  0.6027  0.2500
Ge  0.9700  0.7200  0.2500

Main lines, by intensity (2θ = 10–90°):
2theta	I/Imax
34.34	100.0
62.44	43.3
35.86	42.8
42.88	42.0
43.15	41.3
39.13	37.6
31.17	33.3
29.46	31.9

---

Entry 3:
Structure and simulated PXRD pattern of Pr3GeTe2 (a GGA-PBE-relaxed structure; Cu Kα, 1.54184 Å).

Structure:
abc: 7.7669 7.7669 7.7068
angles: 99.75 99.75 119.40
Atoms (fractional coordinates):
Pr  0.0000  0.5000  0.0000
Pr  0.1479  0.2983  0.4969
Pr  0.2983  0.1479  0.9969
Pr  0.5000  0.0000  0.5000
Pr  0.7017  0.8521  0.0031
Pr  0.8521  0.7017  0.5031
Ge  0.0878  0.9122  0.2500
Ge  0.9122  0.0878  0.7500
Te  0.2570  0.7430  0.7500
Te  0.4182  0.5818  0.2500
Te  0.5818  0.4182  0.7500
Te  0.7430  0.2570  0.2500

Main lines, by intensity (2θ = 10–90°):
2theta	I/Imax
28.20	100.0
28.10	50.1
40.50	38.0
40.31	37.2
39.97	36.2
49.89	19.5
58.33	11.9
73.11	11.3

---

Entry 4:
Structure and simulated PXRD pattern of Pr2Tm3Ge4 (a GGA-PBE-relaxed structure; Cu Kα, 1.54184 Å).

Structure:
abc: 7.8669 7.8706 7.6127
angles: 90.00 110.08 90.00
Atoms (fractional coordinates):
Pr  0.1941  0.1780  0.0686
Pr  0.1941  0.3220  0.5686
Pr  0.8059  0.6780  0.4314
Pr  0.8059  0.8220  0.9314
Tm  0.2463  0.6671  0.2450
Tm  0.2463  0.8329  0.7450
Tm  0.5000  0.0000  0.5000
Tm  0.5000  0.5000  0.0000
Tm  0.7537  0.1671  0.2550
Tm  0.7537  0.3329  0.7550
Ge  0.0843  0.5411  0.8486
Ge  0.0843  0.9589  0.3486
Ge  0.4932  0.1318  0.8654
Ge  0.4932  0.3682  0.3654
Ge  0.5068  0.6318  0.6347
Ge  0.5068  0.8682  0.1346
Ge  0.9157  0.0411  0.6514
Ge  0.9157  0.4589  0.1514

Main lines, by intensity (2θ = 10–90°):
2theta	I/Imax
36.49	100.0
32.46	93.6
33.37	86.2
37.24	68.3
32.92	66.0
30.39	58.7
33.26	54.4
55.84	37.9

---

Entry 5:
Structure and simulated PXRD pattern of Pr3TmGe6 (a GGA-PBE-relaxed structure; Cu Kα, 1.54184 Å).

Structure:
abc: 7.8947 7.8947 7.8947
angles: 98.13 98.13 98.13
Atoms (fractional coordinates):
Pr  0.1831  0.7500  0.3169
Pr  0.2500  0.6831  0.8169
Pr  0.3169  0.1831  0.7500
Pr  0.6831  0.8169  0.2500
Pr  0.7500  0.3169  0.1831
Pr  0.8169  0.2500  0.6831
Tm  0.0000  0.0000  0.0000
Tm  0.5000  0.5000  0.5000
Ge  0.0142  0.0888  0.3757
Ge  0.0888  0.3757  0.0142
Ge  0.1243  0.4112  0.4858
Ge  0.3757  0.0142  0.0888
Ge  0.4112  0.4858  0.1243
Ge  0.4858  0.1243  0.4112
Ge  0.5142  0.8757  0.5888
Ge  0.5888  0.5142  0.8757
Ge  0.6243  0.9858  0.9112
Ge  0.8757  0.5888  0.5142
Ge  0.9112  0.6243  0.9858
Ge  0.9858  0.9112  0.6243

Main lines, by intensity (2θ = 10–90°):
2theta	I/Imax
34.94	100.0
32.18	94.1
35.55	70.6
27.54	40.2
51.73	36.2
46.66	25.9
55.56	20.5
45.55	19.7

---

Entry 6:
Structure and simulated PXRD pattern of Pr3TmGe4 (a GGA-PBE-relaxed structure; Cu Kα, 1.54184 Å).

Structure:
abc: 8.9692 8.9692 8.9692
angles: 152.43 138.24 50.77
Atoms (fractional coordinates):
Pr  0.0000  0.0000  0.0000
Pr  0.3053  0.8053  0.5000
Pr  0.6947  0.1947  0.5000
Tm  0.5000  0.5000  0.0000
Ge  0.0653  0.3713  0.6940
Ge  0.3227  0.6287  0.6940
Ge  0.6773  0.3713  0.3060
Ge  0.9347  0.6287  0.3060

Main lines, by intensity (2θ = 10–90°):
2theta	I/Imax
27.41	100.0
35.78	30.5
38.93	27.5
33.55	27.4
42.29	22.0
49.07	19.0
67.45	18.9
34.74	18.5